No. 1
For Cr4SeBr, a cell relaxed with GGA-PBE gives the theoretical X-ray powder pattern in this record (a wavelength of 1.5418 Å).

Crystal structure
Cell: 7.0167 7.0167 7.0167 Å, 90.00 90.00 90.00°
Space group F-43m (No. 216)
Symmetry-distinct sites (fractional):
Cr  0.1249  0.1249  0.1249 [16 per cell]
Se  0.2500  0.2500  0.7500 [4 per cell]
Br  0.0000  0.0000  0.5000 [4 per cell]

Most intense lines, 10 to 90 degrees two-theta, by angle:
2θ/deg	intensity
36.21	43.2
42.74	100.0
44.74	26.7
52.14	0.6
65.13	15.1
69.63	28.6
76.85	22.7
88.03	6.9

No. 2
For LiAl4Cu15, a cell relaxed with GGA-PBE gives the theoretical X-ray powder pattern in this record (a wavelength of 1.5418 Å).

Crystal structure
Cell: 3.7138 3.7138 17.9815 Å, 90.00 90.00 90.00°
Space group P4/mmm (No. 123)
Symmetry-distinct sites (fractional):
Li  0.0000  0.0000  0.0000 [1 per cell]
Al  0.0000  0.0000  0.1971 [2 per cell]
Al  0.0000  0.0000  0.3990 [2 per cell]
Cu  0.0000  0.5000  0.0983 [4 per cell]
Cu  0.0000  0.5000  0.2983 [4 per cell]
Cu  0.0000  0.5000  0.5000 [2 per cell]
Cu  0.5000  0.5000  0.0000 [1 per cell]
Cu  0.5000  0.5000  0.1983 [2 per cell]
Cu  0.5000  0.5000  0.3990 [2 per cell]

Most intense lines, 10 to 90 degrees two-theta, by angle:
2θ/deg	intensity
23.96	9.5
24.76	4.4
34.72	7.4
42.63	100.0
49.06	32.5
50.77	14.4
71.91	9.5
73.28	17.7
87.35	21.9
89.97	10.1

No. 3
For SmTh2Zn9, a cell relaxed with GGA-PBE gives the theoretical X-ray powder pattern in this record (a wavelength of 1.5418 Å).

Crystal structure
Cell: 5.5048 5.5048 26.3671 Å, 90.00 90.00 120.00°
Space group R-3m (No. 166, hexagonal axes)
Symmetry-distinct sites (fractional):
Sm  0.0000  0.0000  0.0000 [3 per cell]
Th  0.0000  0.0000  0.1445 [6 per cell]
Zn  0.0000  0.0000  0.3353 [6 per cell]
Zn  0.0000  0.0000  0.5000 [3 per cell]
Zn  0.0060  0.5030  0.9196 [18 per cell]

Most intense lines, 10 to 90 degrees two-theta, by angle:
2θ/deg	intensity
10.06	14.5
30.24	47.7
32.53	54.4
33.04	30.3
37.90	34.8
38.60	100.0
56.62	17.6
62.11	24.4
62.89	15.3
68.14	21.5

No. 4
For Na6B11C, a cell relaxed with GGA-PBE gives the theoretical X-ray powder pattern in this record (a wavelength of 1.5418 Å).

Crystal structure
Cell: 5.1883 5.1883 25.9438 Å, 90.00 90.00 120.00°
Space group R32 (No. 155, hexagonal axes)
Symmetry-distinct sites (fractional):
Na  0.0001  0.3332  0.0827 [18 per cell]
B  0.0000  0.0000  0.1667 [6 per cell]
B  0.0000  0.0000  0.3334 [6 per cell]
B  0.0000  0.0000  0.5000 [3 per cell]
B  0.0000  0.6667  0.1667 [9 per cell]
B  0.0000  0.6844  0.0000 [9 per cell]
C  0.0000  0.0000  0.0000 [3 per cell]

Most intense lines, 10 to 90 degrees two-theta, by angle:
2θ/deg	intensity
34.58	20.2
40.55	100.0
41.78	23.3
55.31	10.7
61.96	18.0
66.01	2.0
72.93	2.0
75.45	12.3
76.71	11.6
77.54	17.2

No. 5
For ScMn7C2, a cell relaxed with GGA-PBE gives the theoretical X-ray powder pattern in this record (a wavelength of 1.5418 Å).

Crystal structure
Cell: 6.1102 10.0475 4.0938 Å, 90.00 90.00 90.00°
Space group Cmmm (No. 65)
Symmetry-distinct sites (fractional):
Sc  0.0000  0.0000  0.0000 [2 per cell]
Mn  0.0000  0.3120  0.0000 [4 per cell]
Mn  0.0000  0.5000  0.5000 [2 per cell]
Mn  0.1914  0.1398  0.5000 [8 per cell]
C  0.0000  0.3005  0.5000 [4 per cell]

Most intense lines, 10 to 90 degrees two-theta, by angle:
2θ/deg	intensity
21.71	36.2
36.70	49.3
37.70	100.0
42.21	19.9
44.25	48.2
46.82	26.6
50.89	21.6
52.17	15.9
52.59	21.0
66.39	16.8

No. 6
For TaPd3Pt3, a cell relaxed with GGA-PBE gives the theoretical X-ray powder pattern in this record (a wavelength of 1.5418 Å).

Crystal structure
Cell: 9.2470 9.1805 5.5441 Å, 90.00 94.64 90.00°
Space group C2/m (No. 12)
Symmetry-distinct sites (fractional):
Ta  0.2382  0.0000  0.4627 [4 per cell]
Pd  0.0000  0.2479  0.0000 [4 per cell]
Pd  0.0000  0.3456  0.5000 [4 per cell]
Pd  0.1515  0.5000  0.9471 [4 per cell]
Pt  0.0207  0.0000  0.7541 [4 per cell]
Pt  0.2448  0.2276  0.7498 [8 per cell]

Most intense lines, 10 to 90 degrees two-theta, by angle:
2θ/deg	intensity
30.75	18.7
34.54	15.9
35.28	21.6
39.09	40.8
39.25	38.6
41.67	100.0
44.21	52.4
45.88	21.0
56.60	14.2
72.82	14.8